[1]
Calculated powder diffractogram of SbH6CN3F4 for λ = 1.5418 Å (Cu Kα), from the PBE geometry in the Materials Project.
Kinematic intensities with the Lorentz-polarization factor, no thermal factor.

The 10 most intense peaks (2θ = 5–70°), sorted by position:
two_theta  I/Imax  h k l
10.92  100  0 1 1
14.16  36  0 0 2
16.44  26  0 1 2
18.13  33  0 2 1
20.39  39  1 1 1
22.32  47  1 0 2
24.02  27  1 2 0
25.07  43  1 2 1
27.49  42  1 0 3
28.77  27  1 1 3

Cell and atoms:
```
data_SbH6CN3F4
_chemical_formula_sum 'Sb4 H24 C4 N12 F16'
_cell_length_a 5.1642
_cell_length_b 10.6333
_cell_length_c 12.5092
_cell_angle_alpha 90.00
_cell_angle_beta 90.00
_cell_angle_gamma 90.00
_symmetry_space_group_name_H-M 'P 21 21 21'
_symmetry_Int_Tables_number 19
loop_
_symmetry_equiv_pos_as_xyz
'x,y,z'
'-x+1/2,-y,z+1/2'
'x+1/2,-y+1/2,-z'
'-x,y+1/2,-z+1/2'
loop_
_atom_site_label
_atom_site_fract_x
_atom_site_fract_y
_atom_site_fract_z
_atom_site_occupancy
Sb1 0.1005 0.1201 0.4289 1
H1 0.0789 0.2671 0.0739 1
H2 0.0805 0.2571 0.7341 1
H3 0.0890 0.4729 0.7742 1
H4 0.1246 0.1039 0.0574 1
H5 0.1653 0.4651 0.3551 1
H6 0.2493 0.8437 0.3186 1
C1 0.1682 0.6565 0.3405 1
N1 0.0282 0.1770 0.0921 1
N2 0.2144 0.2455 0.7933 1
N3 0.2427 0.5397 0.3158 1
F1 0.0159 0.9346 0.4639 1
F2 0.1397 0.7310 0.8937 1
F3 0.1518 0.9037 0.0477 1
F4 0.1706 0.9684 0.8228 1
```

=====

[2]
Calculated powder diffractogram of SbH12C2N6F5 for λ = 1.5418 Å (Cu Kα), from the PBE geometry in the Materials Project.
Kinematic intensities with the Lorentz-polarization factor, no thermal factor.

The 10 most intense peaks (2θ = 5–70°), sorted by position:
two_theta  I/Imax  h k l
10.58  56  0 0 1
11.72  35  2 0 -1
12.25  32  1 1 0
12.94  40  2 0 0
13.83  92  1 1 -1
18.27  45  2 0 -2
20.87  31  0 2 0
21.45  55  1 1 -2
22.11  100  3 1 0
42.84  35  5 3 -2

Cell and atoms:
```
data_SbH12C2N6F5
_chemical_formula_sum 'Sb4 H48 C8 N24 F20'
_cell_length_a 16.0039
_cell_length_b 8.5119
_cell_length_c 9.7761
_cell_angle_alpha 90.00
_cell_angle_beta 121.21
_cell_angle_gamma 90.00
_symmetry_space_group_name_H-M 'C 1 2/m 1'
_symmetry_Int_Tables_number 12
loop_
_symmetry_equiv_pos_as_xyz
'x,y,z'
'-x,-y,-z'
'-x,y,-z'
'x,-y,z'
'x+1/2,y+1/2,z'
'-x+1/2,-y+1/2,-z'
'-x+1/2,y+1/2,-z'
'x+1/2,-y+1/2,z'
loop_
_atom_site_label
_atom_site_fract_x
_atom_site_fract_y
_atom_site_fract_z
_atom_site_occupancy
Sb1 0.1543 0.0000 0.1379 1
H1 0.0239 0.2622 0.8056 1
H2 0.1087 0.3951 0.2298 1
H3 0.1282 0.3609 0.8302 1
H4 0.1475 0.1388 0.4517 1
H5 0.1827 0.2390 0.6300 1
H6 0.2300 0.1045 0.8633 1
C1 0.0143 0.5000 0.8016 1
C2 0.1804 0.0000 0.6459 1
N1 0.0593 0.3639 0.8128 1
N2 0.0754 0.5000 0.2205 1
N3 0.1628 0.1364 0.5671 1
N4 0.2158 0.0000 0.8037 1
F1 0.1007 0.1712 0.2313 1
F2 0.2405 0.5000 0.6366 1
F3 0.2501 0.1696 0.1328 1
```

=====

[3]
Calculated powder diffractogram of Sb2H3CNF14 for λ = 1.5418 Å (Cu Kα), from the PBE geometry in the Materials Project.
Kinematic intensities with the Lorentz-polarization factor, no thermal factor.

The 10 most intense peaks (2θ = 5–70°), sorted by position:
two_theta  I/Imax  h k l
11.44  22  1 0 0
14.32  29  0 1 1
16.09  29  1 1 0
19.17  100  1 1 1
22.67  89  0 2 0
23.40  18  2 0 -1
25.86  12  2 0 1
26.61  19  0 0 3
37.80  13  1 3 1
41.93  11  3 2 0

Cell and atoms:
```
data_Sb2H3CNF14
_chemical_formula_sum 'Sb4 H6 C2 N2 F28'
_cell_length_a 7.8214
_cell_length_b 7.8450
_cell_length_c 10.1599
_cell_angle_alpha 90.00
_cell_angle_beta 98.44
_cell_angle_gamma 90.00
_symmetry_space_group_name_H-M 'P 1 21/m 1'
_symmetry_Int_Tables_number 11
loop_
_symmetry_equiv_pos_as_xyz
'x,y,z'
'-x,-y,-z'
'-x,y+1/2,-z'
'x,-y+1/2,z'
loop_
_atom_site_label
_atom_site_fract_x
_atom_site_fract_y
_atom_site_fract_z
_atom_site_occupancy
Sb1 0.0021 0.2500 0.3332 1
Sb2 0.2504 0.2500 0.0258 1
H1 0.2234 0.6413 0.2893 1
H2 0.3276 0.7500 0.1806 1
C1 0.4576 0.7500 0.3753 1
N1 0.2955 0.7500 0.2759 1
F1 0.0322 0.7500 0.4857 1
F2 0.0483 0.2500 0.1393 1
F3 0.0647 0.2500 0.8823 1
F4 0.1610 0.5770 0.7213 1
F5 0.1796 0.0784 0.3619 1
F6 0.2367 0.0082 0.0403 1
F7 0.4059 0.2500 0.1876 1
F8 0.4144 0.7500 0.4980 1
F9 0.4256 0.2500 0.9143 1
F10 0.4519 0.1100 0.6436 1
```

=====

[4]
Calculated powder diffractogram of SiH12C2N6F6 for λ = 1.5418 Å (Cu Kα), from the PBE geometry in the Materials Project.
Kinematic intensities with the Lorentz-polarization factor, no thermal factor.

The 10 most intense peaks (2θ = 5–70°), sorted by position:
two_theta  I/Imax  h k l
14.31  100  1 1 0
15.54  37  0 0 1
16.74  78  2 0 -1
23.40  81  1 1 1
29.68  26  2 2 -1
30.80  14  4 0 0
31.37  35  0 0 2
40.73  15  5 1 0
47.57  12  1 3 -2
58.37  12  3 3 -3

Cell and atoms:
```
data_SiH12C2N6F6
_chemical_formula_sum 'Si2 H24 C4 N12 F12'
_cell_length_a 12.7335
_cell_length_b 7.3170
_cell_length_c 6.2532
_cell_angle_alpha 90.00
_cell_angle_beta 114.21
_cell_angle_gamma 90.00
_symmetry_space_group_name_H-M 'C 1 2/m 1'
_symmetry_Int_Tables_number 12
loop_
_symmetry_equiv_pos_as_xyz
'x,y,z'
'-x,-y,-z'
'-x,y,-z'
'x,-y,z'
'x+1/2,y+1/2,z'
'-x+1/2,-y+1/2,-z'
'-x+1/2,y+1/2,-z'
'x+1/2,-y+1/2,z'
loop_
_atom_site_label
_atom_site_fract_x
_atom_site_fract_y
_atom_site_fract_z
_atom_site_occupancy
Si1 0.0000 0.0000 0.0000 1
H1 0.0746 0.3804 0.2509 1
H2 0.1464 0.1588 0.7423 1
H3 0.2329 0.2214 0.2510 1
C1 0.2242 0.5000 0.2719 1
N1 0.1195 0.5000 0.2755 1
N2 0.2229 0.1585 0.7259 1
F1 0.0163 0.1665 0.8208 1
F2 0.1466 0.0000 0.1642 1
```

=====

[5]
Calculated powder diffractogram of SiH12C4N10F6 for λ = 1.5418 Å (Cu Kα), from the PBE geometry in the Materials Project.
Kinematic intensities with the Lorentz-polarization factor, no thermal factor.

The 10 most intense peaks (2θ = 5–70°), sorted by position:
two_theta  I/Imax  h k l
12.91  22  0 1 0
16.24  20  1 -1 0
16.34  100  1 0 0
19.29  80  -1 1 1
20.79  21  0 1 1
24.77  63  0 1 -2
25.13  47  0 2 -1
26.75  33  1 -2 1
27.26  21  1 1 -2
30.34  72  0 2 -2

Cell and atoms:
```
data_SiH12C4N10F6
_chemical_formula_sum 'Si1 H12 C4 N10 F6'
_cell_length_a 6.1892
_cell_length_b 7.6308
_cell_length_c 7.6672
_cell_angle_alpha 100.82
_cell_angle_beta 106.71
_cell_angle_gamma 109.01
_symmetry_space_group_name_H-M 'P -1'
_symmetry_Int_Tables_number 2
loop_
_symmetry_equiv_pos_as_xyz
'x,y,z'
'-x,-y,-z'
loop_
_atom_site_label
_atom_site_fract_x
_atom_site_fract_y
_atom_site_fract_z
_atom_site_occupancy
Si1 0.0000 0.0000 0.0000 1
H1 0.1209 0.5938 0.8528 1
H2 0.1443 0.1726 0.4429 1
H3 0.3100 0.0094 0.7441 1
H4 0.4191 0.5745 0.2938 1
H5 0.4247 0.3840 0.1293 1
H6 0.4850 0.0568 0.3338 1
C1 0.1530 0.7842 0.4939 1
C2 0.2356 0.4070 0.6920 1
N1 0.0810 0.4685 0.7495 1
N2 0.0895 0.2448 0.5379 1
N3 0.1655 0.6477 0.3674 1
N4 0.3424 0.9418 0.6319 1
N5 0.4811 0.4818 0.7686 1
F1 0.0556 0.7948 0.9517 1
F2 0.1703 0.0565 0.2414 1
F3 0.2623 0.1308 0.9675 1
```